Calculated X-ray powder pattern
Compound: La7Cu2Au2
Radiation: CuKα
Structure: a crystal structure in Alexandria, relaxed with GGA-PBE
Lines closer than 0.1° are merged.

The 6 most intense peaks (2θ = 5–70°), by intensity:
2θ (°)  I (rel.)
36.9  1000
31.1  797
27.9  628
35.8  506
25.6  498
28.9  391

```
La7Cu2Au2
1.0
3.9543 -5.7429 0.0000
3.9543 5.7429 0.0000
0.0000 0.0000 7.3287
La Cu Au
7 2 2
direct
0.0000 0.0000 0.0000 La
0.0000 0.5000 0.2816 La
0.0000 0.5000 0.7184 La
0.5000 0.0000 0.2816 La
0.5000 0.0000 0.7184 La
0.5000 0.5000 0.2520 La
0.5000 0.5000 0.7480 La
0.2910 0.7090 0.0000 Cu
0.7090 0.2910 0.0000 Cu
0.1769 0.1769 0.5000 Au
0.8231 0.8231 0.5000 Au
```

***

Calculated X-ray powder pattern
Compound: La4CuAu
Radiation: CuKα
Structure: a crystal structure in Alexandria, relaxed with GGA-PBE
Lines closer than 0.1° are merged.

The 6 most intense peaks (2θ = 5–70°), by intensity:
2θ (°)  I (rel.)
33.4  1000
30.4  805
31.5  496
46.1  382
33.2  376
30.0  372

```
La4CuAu
1.0
8.7031 0.0000 0.0000
0.0000 3.9393 0.0000
0.0000 0.0000 20.4913
La Cu Au
16 4 4
direct
0.0295 0.2500 0.0710 La
0.0522 0.7500 0.2242 La
0.1199 0.7500 0.6536 La
0.1625 0.7500 0.4365 La
0.3375 0.2500 0.9365 La
0.3801 0.2500 0.1536 La
0.4478 0.2500 0.7242 La
0.4705 0.7500 0.5710 La
0.5295 0.2500 0.4290 La
0.5522 0.7500 0.2758 La
0.6199 0.7500 0.8464 La
0.6625 0.7500 0.0635 La
0.8375 0.2500 0.5635 La
0.8801 0.2500 0.3464 La
0.9478 0.2500 0.7758 La
0.9705 0.7500 0.9290 La
0.2213 0.2500 0.5479 Cu
0.2787 0.7500 0.0479 Cu
0.7213 0.2500 0.9521 Cu
0.7787 0.7500 0.4521 Cu
0.2417 0.7500 0.8147 Au
0.2583 0.2500 0.3147 Au
0.7417 0.7500 0.6853 Au
0.7583 0.2500 0.1853 Au
```

***

Calculated X-ray powder pattern
Compound: LaNdCuAu
Radiation: CuKα
Structure: a crystal structure in Alexandria, relaxed with GGA-PBE
Lines closer than 0.1° are merged.

The 6 most intense peaks (2θ = 5–70°), by intensity:
2θ (°)  I (rel.)
38.2  1000
30.4  965
33.0  307
37.7  272
32.3  222
45.3  213

```
LaNdCuAu
1.0
4.7112 0.0000 0.0000
0.0000 2.0001 5.5431
0.0000 -2.0001 5.5431
La Nd Cu Au
1 1 1 1
direct
0.0000 0.0000 0.0000 La
0.5000 0.7222 0.7222 Nd
0.0000 0.2840 0.2840 Cu
0.5000 0.4350 0.4350 Au
```

***

Calculated X-ray powder pattern
Compound: Li5Cu2Au12
Radiation: CuKα
Structure: a crystal structure in Alexandria, relaxed with GGA-PBE
Lines closer than 0.1° are merged.

The 6 most intense peaks (2θ = 5–70°), by intensity:
2θ (°)  I (rel.)
39.4  1000
27.1  826
28.4  801
44.7  695
23.2  644
34.9  591

```
Li5Cu2Au12
1.0
7.7545 -2.7453 0.0000
7.7545 2.7453 0.0000
-2.7408 0.0000 8.0903
Li Cu Au
5 2 12
direct
0.0000 0.0000 0.0000 Li
0.2904 0.2904 0.1092 Li
0.3586 0.3586 0.6475 Li
0.6414 0.6414 0.3525 Li
0.7096 0.7096 0.8908 Li
0.2617 0.7383 0.5000 Cu
0.7383 0.2617 0.5000 Cu
0.0517 0.5565 0.3850 Au
0.0815 0.0815 0.7704 Au
0.1072 0.6044 0.9073 Au
0.3956 0.8928 0.0927 Au
0.4435 0.9483 0.6150 Au
0.4694 0.4694 0.2111 Au
0.5306 0.5306 0.7889 Au
0.5565 0.0517 0.3850 Au
0.6044 0.1072 0.9073 Au
0.8928 0.3956 0.0927 Au
0.9185 0.9185 0.2296 Au
0.9483 0.4435 0.6150 Au
```

***

Calculated X-ray powder pattern
Compound: LiCuAu6
Radiation: CuKα
Structure: a crystal structure in Alexandria, relaxed with GGA-PBE
Lines closer than 0.1° are merged.

The 6 most intense peaks (2θ = 5–70°), by intensity:
2θ (°)  I (rel.)
38.4  1000
44.7  327
64.8  217
31.1  168
44.4  166
21.9  131

```
LiCuAu6
1.0
4.0564 0.0000 0.0000
0.0000 4.0564 0.0000
0.0000 0.0000 8.1560
Li Cu Au
1 1 6
direct
0.0000 0.0000 0.0000 Li
0.0000 0.0000 0.5000 Cu
0.0000 0.5000 0.2505 Au
0.0000 0.5000 0.7495 Au
0.5000 0.0000 0.2505 Au
0.5000 0.0000 0.7495 Au
0.5000 0.5000 0.0000 Au
0.5000 0.5000 0.5000 Au
```

***

Calculated X-ray powder pattern
Compound: LiCu3Au12
Radiation: CuKα
Structure: a crystal structure in Alexandria, relaxed with GGA-PBE
Lines closer than 0.1° are merged.

The 6 most intense peaks (2θ = 5–70°), by intensity:
2θ (°)  I (rel.)
38.4  1000
45.0  321
64.7  219
43.9  172
65.5  105
22.1  99

```
LiCu3Au12
1.0
4.0303 0.0000 0.0000
0.0000 4.0303 0.0000
0.0000 0.0000 16.5070
Li Cu Au
1 3 12
direct
0.0000 0.0000 0.0000 Li
0.0000 0.0000 0.2512 Cu
0.0000 0.0000 0.5000 Cu
0.0000 0.0000 0.7488 Cu
0.0000 0.5000 0.1259 Au
0.0000 0.5000 0.3754 Au
0.0000 0.5000 0.6246 Au
0.0000 0.5000 0.8741 Au
0.5000 0.0000 0.1259 Au
0.5000 0.0000 0.3754 Au
0.5000 0.0000 0.6246 Au
0.5000 0.0000 0.8741 Au
0.5000 0.5000 0.0000 Au
0.5000 0.5000 0.2507 Au
0.5000 0.5000 0.5000 Au
0.5000 0.5000 0.7493 Au
```